Entry 1:
Starting from a cell relaxed with GGA-PBE, the X-ray diffraction stick pattern of SiSnPt5 was computed for λ = 1.5418 Å (Cu Kα).
Kinematic intensities with the Lorentz-polarization factor, no thermal factor.

Largest 10 diffraction maxima, most intense first, 10 to 90 degrees two-theta:
index  Position (°2θ)  intensity
1 1 2  40.7  100
2 0 0  45.1  47
1 1 1  34.0  42
3 1 2  80.2  29
2 0 3  60.4  25
0 0 3  38.0  24
1 1 5  74.7  23
1 1 0  31.5  18
2 2 0  65.7  17
2 2 3  78.5  12

Cell and atoms:
```
data_SiSnPt5
_chemical_formula_sum 'Si1 Sn1 Pt5'
_cell_length_a 4.0176
_cell_length_b 4.0176
_cell_length_c 7.1088
_cell_angle_alpha 90.00
_cell_angle_beta 90.00
_cell_angle_gamma 90.00
_space_group_name_H-M_alt 'P 4/m m m'
_space_group_IT_number 123
_space_group_name_Hall '-P 4 2'
loop_
_atom_site_label
_atom_site_fract_x
_atom_site_fract_y
_atom_site_fract_z
Si1 0.0000 0.0000 0.0000
Sn1 0.5000 0.5000 0.5000
Pt1 0.0000 0.0000 0.5000
Pt2 0.0000 0.5000 0.2040
```

Entry 2:
Starting from a cell relaxed with GGA-PBE, the X-ray diffraction stick pattern of ZrIN was computed for λ = 1.5418 Å (Cu Kα).
Kinematic intensities with the Lorentz-polarization factor, no thermal factor.

Largest 10 diffraction maxima, most intense first, 10 to 90 degrees two-theta:
index  Position (°2θ)  intensity
0 1 5  30.7  100
1 0 10  39.2  41
1 1 0  48.4  33
1 0 4  29.6  18
1 1 15  65.8  16
2 0 5  58.5  16
0 2 10  64.0  15
1 2 5  79.3  14
0 0 6  16.4  13
1 0 1  27.5  12

Cell and atoms:
```
data_ZrIN
_chemical_formula_sum 'Zr6 I6 N6'
_cell_length_a 3.7582
_cell_length_b 3.7582
_cell_length_c 32.5090
_cell_angle_alpha 90.00
_cell_angle_beta 90.00
_cell_angle_gamma 120.00
_space_group_name_H-M_alt 'R -3 m'
_space_group_IT_number 166
_space_group_name_Hall '-R 3 2"'
loop_
_atom_site_label
_atom_site_fract_x
_atom_site_fract_y
_atom_site_fract_z
Zr1 0.0000 0.0000 0.2061
I1 0.0000 0.0000 0.3923
N1 0.0000 0.0000 0.1395
```